Entry 1:
The following is a computed powder X-ray diffraction pattern of Sr3Ni3N5. It was derived from a PBE-relaxed structure, using Cu Kα X-rays.
No peak broadening, texture or thermal motion is included.

Peak list (12 most intense, 10° ≤ 2θ ≤ 90°, low angle first)
- hkl 1 2 0, 30.06 deg, I = 20
- hkl 2 1 1, 30.49 deg, I = 35
- hkl -1 2 1, 31.34 deg, I = 35
- hkl 1 0 -2, 31.90 deg, I = 100
- hkl 1 1 3, 32.02 deg, I = 49
- hkl 2 1 2, 32.18 deg, I = 21
- hkl 0 2 -1, 32.58 deg, I = 52
- hkl 2 0 2, 33.45 deg, I = 37
- hkl 2 -1 0, 34.25 deg, I = 21
- hkl 2 2 1, 36.34 deg, I = 20
- hkl 0 3 2, 38.28 deg, I = 20
- hkl 1 2 -3, 58.08 deg, I = 20

Structural model:
```
data_Sr3Ni3N5
_chemical_formula_sum 'Sr6 Ni6 N10'
_space_group_name_H-M_alt 'P -1'
_space_group_IT_number 2
_space_group_name_Hall '-P 1'
_cell_length_a 6.0709
_cell_length_b 7.3751
_cell_length_c 8.4908
_cell_angle_alpha 67.32
_cell_angle_beta 71.57
_cell_angle_gamma 81.25
loop_
_atom_site_label
_atom_site_type_symbol
_atom_site_fract_x
_atom_site_fract_y
_atom_site_fract_z
Sr1 Sr 0.0147 0.1939 0.2786
Sr2 Sr 0.3016 0.6267 0.3621
Sr3 Sr 0.3701 0.9111 0.8854
Ni1 Ni 0.1038 0.3085 0.8190
Ni2 Ni 0.3313 0.4867 0.9350
Ni3 Ni 0.4060 0.1645 0.4742
N1 N 0.1620 0.2398 0.6305
N2 N 0.1630 0.5753 0.1046
N3 N 0.3213 0.2328 0.9458
N4 N 0.3322 0.9692 0.4121
N5 N 0.4099 0.6506 0.7094
```

=====

Entry 2:
The following is a computed powder X-ray diffraction pattern of Mg14MnC. It was derived from a PBE-relaxed structure, using Cu Kα X-rays.
No peak broadening, texture or thermal motion is included.

Peak list (12 most intense, 10° ≤ 2θ ≤ 90°, low angle first)
- hkl 1 0 1, 18.78 deg, I = 8
- hkl 1 1 1, 30.12 deg, I = 3
- hkl 1 0 3, 32.02 deg, I = 4
- hkl 2 0 0, 33.23 deg, I = 25
- hkl 0 0 4, 36.66 deg, I = 25
- hkl 2 0 2, 38.09 deg, I = 100
- hkl 2 0 4, 50.31 deg, I = 14
- hkl 2 2 0, 59.37 deg, I = 17
- hkl 2 0 6, 66.95 deg, I = 17
- hkl 2 2 4, 71.84 deg, I = 18
- hkl 4 0 2, 72.75 deg, I = 13
- hkl 4 0 4, 81.48 deg, I = 3

Structural model:
```
data_Mg14MnC
_chemical_formula_sum 'Mg14 Mn1 C1'
_space_group_name_H-M_alt 'P -6 m 2'
_space_group_IT_number 187
_space_group_name_Hall 'P -6 2'
_cell_length_a 6.2266
_cell_length_b 6.2266
_cell_length_c 9.8057
_cell_angle_alpha 90.00
_cell_angle_beta 90.00
_cell_angle_gamma 120.00
loop_
_atom_site_label
_atom_site_type_symbol
_atom_site_fract_x
_atom_site_fract_y
_atom_site_fract_z
Mg1 Mg 0.0000 0.0000 0.2457
Mg2 Mg 0.0153 0.5077 0.2584
Mg3 Mg 0.3290 0.1645 0.5000
Mg4 Mg 0.3384 0.1692 0.0000
Mn1 Mn 0.3333 0.6667 0.0000
C1 C 0.3333 0.6667 0.5000
```

=====

Entry 3:
The following is a computed powder X-ray diffraction pattern of CrFe. It was derived from a PBE-relaxed structure, using Cu Kα X-rays.
No peak broadening, texture or thermal motion is included.

Peak list (9 most intense, 10° ≤ 2θ ≤ 90°, low angle first)
- hkl 1 1 1, 44.88 deg, I = 100
- hkl 0 0 2, 45.07 deg, I = 25
- hkl 0 2 0, 46.82 deg, I = 22
- hkl 2 0 0, 63.67 deg, I = 8
- hkl 0 2 2, 67.01 deg, I = 13
- hkl 2 0 2, 81.39 deg, I = 7
- hkl 2 2 0, 82.65 deg, I = 7
- hkl 1 1 3, 83.05 deg, I = 14
- hkl 1 3 1, 85.57 deg, I = 13

Structural model:
```
data_CrFe
_chemical_formula_sum 'Cr2 Fe2'
_space_group_name_H-M_alt 'C m m m'
_space_group_IT_number 65
_space_group_name_Hall '-C 2 2'
_cell_length_a 2.9231
_cell_length_b 3.8811
_cell_length_c 4.0230
_cell_angle_alpha 90.00
_cell_angle_beta 90.00
_cell_angle_gamma 90.00
loop_
_atom_site_label
_atom_site_type_symbol
_atom_site_fract_x
_atom_site_fract_y
_atom_site_fract_z
Cr1 Cr 0.0000 0.0000 0.0000
Fe1 Fe 0.0000 0.5000 0.5000
```

=====

Entry 4:
The following is a computed powder X-ray diffraction pattern of KAl2Br7. It was derived from a PBE-relaxed structure, using Cu Kα X-rays.
No peak broadening, texture or thermal motion is included.

Peak list (12 most intense, 10° ≤ 2θ ≤ 90°, low angle first)
- hkl 1 1 -2, 14.30 deg, I = 66
- hkl 2 1 0, 20.84 deg, I = 47
- hkl 1 0 -4, 24.76 deg, I = 39
- hkl 1 3 -2, 26.44 deg, I = 68
- hkl 0 2 3, 26.75 deg, I = 30
- hkl 3 1 -1, 26.93 deg, I = 56
- hkl 0 3 2, 27.62 deg, I = 57
- hkl 3 1 -4, 28.33 deg, I = 26
- hkl 2 3 -2, 28.78 deg, I = 27
- hkl 2 2 1, 28.89 deg, I = 100
- hkl 3 2 -3, 29.33 deg, I = 75
- hkl 3 5 -1, 47.86 deg, I = 33

Structural model:
```
data_KAl2Br7
_chemical_formula_sum 'K4 Al8 Br28'
_space_group_name_H-M_alt 'P 1 21/c 1'
_space_group_IT_number 14
_space_group_name_Hall '-P 2ybc'
_cell_length_a 11.0963
_cell_length_b 11.3683
_cell_length_c 14.8994
_cell_angle_alpha 90.00
_cell_angle_beta 124.07
_cell_angle_gamma 90.00
loop_
_atom_site_label
_atom_site_type_symbol
_atom_site_fract_x
_atom_site_fract_y
_atom_site_fract_z
K1 K 0.1138 0.1187 0.3809
Al1 Al 0.1724 0.7163 0.4543
Al2 Al 0.4002 0.2127 0.7975
Br1 Br 0.0158 0.0830 0.1198
Br2 Br 0.1521 0.6326 0.0492
Br3 Br 0.2075 0.7138 0.8258
Br4 Br 0.2215 0.1051 0.7943
Br5 Br 0.3790 0.5931 0.5846
Br6 Br 0.3812 0.2235 0.6360
Br7 Br 0.4327 0.1084 0.3796
```